The following is a calculated powder diffractogram of Lu2PbSe4. It was derived from a DFT-relaxed cell (PBE, OQMD), using Cu Kα, 1.54184 Å.
Lines closer than 0.1° are merged.

Most intense lines, 2θ = 10–90°, low angle first:
2θ/deg, d/Å, I (rel.), hkl
24.15, 3.685, 45, 0 0 4
24.50, 3.633, 100, 3 0 2
26.04, 3.422, 50, 1 1 2
29.41, 3.037, 90, 1 1 3
31.03, 2.882, 37, 4 0 2
31.32, 2.856, 43, 3 1 1
35.88, 2.503, 89, 2 1 4
36.22, 2.480, 34, 4 1 0
36.75, 2.446, 44, 4 1 1
39.40, 2.287, 44, 2 0 6
44.01, 2.057, 35, 4 1 4
44.62, 2.031, 55, 0 2 0

a b c (Å): 12.527 4.061 14.741
angles (deg): 90.00 90.00 90.00
Fractional coordinates of all 28 atoms:
Lu (0.060, 0.250, 0.112)
Lu (0.083, 0.250, 0.597)
Lu (0.417, 0.750, 0.097)
Lu (0.440, 0.750, 0.612)
Lu (0.560, 0.250, 0.388)
Lu (0.583, 0.250, 0.903)
Lu (0.917, 0.750, 0.403)
Lu (0.940, 0.750, 0.888)
Pb (0.241, 0.250, 0.332)
Pb (0.259, 0.750, 0.832)
Pb (0.741, 0.250, 0.168)
Pb (0.759, 0.750, 0.668)
Se (0.029, 0.750, 0.715)
Se (0.090, 0.250, 0.925)
Se (0.127, 0.750, 0.469)
Se (0.205, 0.750, 0.167)
Se (0.295, 0.250, 0.667)
Se (0.373, 0.250, 0.969)
Se (0.410, 0.750, 0.425)
Se (0.471, 0.250, 0.215)
Se (0.529, 0.750, 0.785)
Se (0.590, 0.250, 0.575)
Se (0.627, 0.750, 0.031)
Se (0.705, 0.750, 0.333)
Se (0.795, 0.250, 0.833)
Se (0.873, 0.250, 0.531)
Se (0.910, 0.750, 0.075)
Se (0.971, 0.250, 0.285)